This entry pairs a crystal structure of Sm6Er3Tm with its simulated powder diffractogram. Radiation: CuKα. Structure: a DFT-relaxed cell (GGA-PBE, Alexandria).
Intensities are scaled so that the largest is 100.

a = 11.0567 Å, b = 11.0567 Å, c = 6.2343 Å
α = 90.00°, β = 90.00°, γ = 120.32°
Sites, in units of the cell vectors:
Sm: 0.0414 0.9586 0.5000
Sm: 0.0550 0.4777 0.9371
Sm: 0.2780 0.7220 0.2331
Sm: 0.2880 0.3774 0.1264
Sm: 0.3774 0.2880 0.6264
Sm: 0.4777 0.0550 0.4371
Sm: 0.5223 0.9450 0.9371
Sm: 0.6226 0.7120 0.1264
Sm: 0.7120 0.6226 0.6264
Sm: 0.7220 0.2780 0.7331
Sm: 0.9450 0.5223 0.4371
Sm: 0.9586 0.0414 0.0000
Er: 0.0551 0.2769 0.5521
Er: 0.2769 0.0551 0.0521
Er: 0.3875 0.6125 0.6580
Er: 0.6125 0.3875 0.1580
Er: 0.7231 0.9449 0.5521
Er: 0.9449 0.7231 0.0521
Tm: 0.1999 0.8001 0.7071
Tm: 0.8001 0.1999 0.2071

Most intense lines, 5° ≤ 2θ ≤ 70°, in order of rising 2θ:
d_spacing  Rel. int.
3.128  58
3.119  62
2.964  32
2.845  100
2.834  65
2.712  24
2.649  43
2.610  55